Diffraction record for AcSm3DyY. The X-ray powder pattern is computed, not measured: it uses a DFT-relaxed cell (PBE, Alexandria) and Cu Kα.

Peak list (10 most intense, 10° ≤ 2θ ≤ 80°, most intense first)
| 2theta | I_rel |
| --- | --- |
| 31.00 | 100 |
| 29.71 | 75 |
| 32.67 | 48 |
| 31.95 | 41 |
| 32.09 | 36 |
| 46.45 | 26 |
| 31.75 | 25 |
| 20.55 | 18 |
| 57.27 | 18 |
| 46.20 | 18 |

Crystal structure
Unit cell a=11.8521 b=11.8521 c=7.1235 alpha=98.19 beta=98.19 gamma=26.74
Sites, in units of the cell vectors:
Ac 0.1265 0.1265 0.4798
Ac 0.8735 0.8735 0.5202
Sm 0.0218 0.0218 0.7841
Sm 0.2747 0.2747 0.6891
Sm 0.3229 0.3229 0.2184
Sm 0.6771 0.6771 0.7816
Sm 0.7253 0.7253 0.3109
Sm 0.9782 0.9782 0.2159
Dy 0.4251 0.4251 0.8799
Dy 0.5749 0.5749 0.1201
Y 0.1671 0.1671 0.0255
Y 0.8329 0.8329 0.9745


Diffraction record for AcSmDyY3. The X-ray powder pattern is computed, not measured: it uses a DFT-relaxed cell (PBE, Alexandria) and Cu Kα.

Peak list (10 most intense, 10° ≤ 2θ ≤ 80°, most intense first)
| 2theta | I_rel |
| --- | --- |
| 31.28 | 100 |
| 29.81 | 72 |
| 31.96 | 67 |
| 32.90 | 47 |
| 46.58 | 40 |
| 32.08 | 33 |
| 15.51 | 19 |
| 57.73 | 18 |
| 20.72 | 16 |
| 56.11 | 16 |

Crystal structure
Unit cell a=11.8688 b=11.8688 c=7.0453 alpha=98.16 beta=98.16 gamma=26.52
Sites, in units of the cell vectors:
Ac 0.1270 0.1270 0.4786
Ac 0.8730 0.8730 0.5214
Sm 0.1671 0.1671 0.0262
Sm 0.8329 0.8329 0.9738
Dy 0.4256 0.4256 0.8801
Dy 0.5744 0.5744 0.1199
Y 0.0226 0.0226 0.7838
Y 0.2754 0.2754 0.6852
Y 0.3224 0.3224 0.2161
Y 0.6776 0.6776 0.7839
Y 0.7246 0.7246 0.3148
Y 0.9774 0.9774 0.2162


Diffraction record for AcSmDyY. The X-ray powder pattern is computed, not measured: it uses a DFT-relaxed cell (PBE, Alexandria) and Cu Kα.

Peak list (10 most intense, 10° ≤ 2θ ≤ 80°, most intense first)
| 2theta | I_rel |
| --- | --- |
| 30.48 | 100 |
| 54.16 | 40 |
| 43.64 | 19 |
| 71.99 | 17 |
| 63.42 | 12 |
| 18.52 | 5 |
| 21.42 | 4 |
| 35.90 | 3 |
| 49.11 | 2 |
| 47.79 | 2 |

Crystal structure
Unit cell a=5.8665 b=5.8665 c=5.8665 alpha=60.00 beta=60.00 gamma=60.00
Sites, in units of the cell vectors:
Ac 0.0000 0.0000 0.0000
Sm 0.5000 0.5000 0.5000
Dy 0.2500 0.2500 0.2500
Y 0.7500 0.7500 0.7500


Diffraction record for AcSm6DyY2. The X-ray powder pattern is computed, not measured: it uses a DFT-relaxed cell (PBE, Alexandria) and Cu Kα.

Peak list (10 most intense, 10° ≤ 2θ ≤ 80°, most intense first)
| 2theta | I_rel |
| --- | --- |
| 30.03 | 100 |
| 29.71 | 71 |
| 30.25 | 68 |
| 27.75 | 64 |
| 30.71 | 63 |
| 31.02 | 58 |
| 33.71 | 45 |
| 34.53 | 30 |
| 27.90 | 30 |
| 31.88 | 28 |

Crystal structure
Unit cell a=8.9986 b=8.9986 c=9.6446 alpha=92.57 beta=92.57 gamma=116.52
Sites, in units of the cell vectors:
Ac 0.0341 0.9659 0.7500
Ac 0.9659 0.0341 0.2500
Sm 0.0063 0.5502 0.6814
Sm 0.1197 0.7549 0.0568
Sm 0.2451 0.8803 0.4432
Sm 0.2910 0.5185 0.8834
Sm 0.4498 0.9937 0.8186
Sm 0.4815 0.7090 0.6166
Sm 0.5185 0.2910 0.3834
Sm 0.5502 0.0063 0.1814
Sm 0.7090 0.4815 0.1166
Sm 0.7549 0.1197 0.5568
Sm 0.8803 0.2451 0.9432
Sm 0.9937 0.4498 0.3186
Dy 0.4116 0.5884 0.2500
Dy 0.5884 0.4116 0.7500
Y 0.2068 0.3109 0.5505
Y 0.3109 0.2068 0.0505
Y 0.6891 0.7932 0.9495
Y 0.7932 0.6891 0.4495


Diffraction record for AcSm6Dy2Y. The X-ray powder pattern is computed, not measured: it uses a DFT-relaxed cell (PBE, Alexandria) and Cu Kα.

Peak list (10 most intense, 10° ≤ 2θ ≤ 80°, most intense first)
| 2theta | I_rel |
| --- | --- |
| 30.40 | 100 |
| 30.05 | 89 |
| 27.75 | 62 |
| 33.36 | 46 |
| 30.93 | 31 |
| 31.57 | 25 |
| 57.99 | 15 |
| 58.68 | 15 |
| 37.94 | 13 |
| 36.00 | 12 |

Crystal structure
Unit cell a=9.0271 b=9.0271 c=9.7209 alpha=93.02 beta=93.02 gamma=117.99
Sites, in units of the cell vectors:
Ac 0.0268 0.9732 0.7500
Ac 0.9732 0.0268 0.2500
Sm 0.0143 0.5576 0.6825
Sm 0.1262 0.7507 0.0548
Sm 0.2493 0.8738 0.4452
Sm 0.2890 0.5067 0.8810
Sm 0.4424 0.9857 0.8175
Sm 0.4933 0.7110 0.6190
Sm 0.5067 0.2890 0.3810
Sm 0.5576 0.0143 0.1825
Sm 0.7110 0.4933 0.1190
Sm 0.7507 0.1262 0.5548
Sm 0.8738 0.2493 0.9452
Sm 0.9857 0.4424 0.3175
Dy 0.2029 0.3154 0.5463
Dy 0.3154 0.2029 0.0463
Dy 0.6846 0.7971 0.9537
Dy 0.7971 0.6846 0.4537
Y 0.4115 0.5885 0.2500
Y 0.5885 0.4115 0.7500


Diffraction record for AcDy3Sn2. The X-ray powder pattern is computed, not measured: it uses a DFT-relaxed cell (PBE, Alexandria) and Cu Kα.

Peak list (10 most intense, 10° ≤ 2θ ≤ 80°, most intense first)
| 2theta | I_rel |
| --- | --- |
| 29.77 | 100 |
| 30.63 | 68 |
| 37.77 | 41 |
| 34.84 | 38 |
| 37.07 | 36 |
| 27.68 | 28 |
| 32.37 | 25 |
| 53.94 | 17 |
| 29.10 | 17 |
| 62.20 | 16 |

Crystal structure
Unit cell a=9.5339 b=9.5339 c=9.4502 alpha=112.35 beta=112.35 gamma=28.94
Sites, in units of the cell vectors:
Ac 0.1167 0.1167 0.1474
Ac 0.8833 0.8833 0.8526
Dy 0.0584 0.0584 0.6919
Dy 0.3068 0.3068 0.1138
Dy 0.3603 0.3603 0.5160
Dy 0.6397 0.6397 0.4840
Dy 0.6932 0.6932 0.8862
Dy 0.9416 0.9416 0.3081
Sn 0.2358 0.2358 0.7004
Sn 0.4849 0.4849 0.1475
Sn 0.5151 0.5151 0.8525
Sn 0.7642 0.7642 0.2996


Diffraction record for Ac2DySn5. The X-ray powder pattern is computed, not measured: it uses a DFT-relaxed cell (PBE, Alexandria) and Cu Kα.

Peak list (10 most intense, 10° ≤ 2θ ≤ 80°, most intense first)
| 2theta | I_rel |
| --- | --- |
| 31.64 | 100 |
| 33.98 | 47 |
| 59.35 | 24 |
| 26.62 | 16 |
| 48.82 | 14 |
| 54.82 | 13 |
| 37.62 | 10 |
| 28.66 | 10 |
| 57.76 | 10 |
| 54.54 | 10 |

Crystal structure
Unit cell a=6.8283 b=6.8283 c=6.8283 alpha=113.76 beta=113.76 gamma=101.19
Sites, in units of the cell vectors:
Ac 0.0000 0.5000 0.5000
Ac 0.5000 0.0000 0.5000
Dy 0.3934 0.3934 0.0000
Sn 0.0059 0.0059 0.0000
Sn 0.5299 0.5299 0.5736
Sn 0.5299 0.9563 0.0000
Sn 0.9563 0.5299 0.0000
Sn 0.9563 0.9563 0.4264


Diffraction record for Ac2DySn2. The X-ray powder pattern is computed, not measured: it uses a DFT-relaxed cell (PBE, Alexandria) and Cu Kα.

Peak list (10 most intense, 10° ≤ 2θ ≤ 80°, most intense first)
| 2theta | I_rel |
| --- | --- |
| 28.36 | 100 |
| 32.75 | 56 |
| 55.19 | 34 |
| 29.02 | 30 |
| 37.18 | 27 |
| 30.90 | 23 |
| 32.02 | 20 |
| 47.10 | 16 |
| 47.84 | 16 |
| 22.33 | 15 |

Crystal structure
Unit cell a=6.6718 b=6.6718 c=6.6718 alpha=137.49 beta=116.65 gamma=79.29
Sites, in units of the cell vectors:
Ac 0.2028 0.2028 0.0000
Ac 0.7972 0.7972 0.0000
Dy 0.5000 0.0000 0.5000
Sn 0.2196 0.5000 0.7196
Sn 0.7804 0.5000 0.2804


Diffraction record for Ac4TbDy. The X-ray powder pattern is computed, not measured: it uses a DFT-relaxed cell (PBE, Alexandria) and Cu Kα.

Peak list (10 most intense, 10° ≤ 2θ ≤ 80°, most intense first)
| 2theta | I_rel |
| --- | --- |
| 29.35 | 100 |
| 29.23 | 68 |
| 30.78 | 30 |
| 27.84 | 24 |
| 27.73 | 23 |
| 29.46 | 21 |
| 51.88 | 16 |
| 29.56 | 16 |
| 52.14 | 14 |
| 60.89 | 14 |

Crystal structure
Unit cell a=3.7554 b=6.1616 c=10.5270 alpha=89.89 beta=89.62 gamma=82.95
Sites, in units of the cell vectors:
Ac 0.2168 0.0331 0.1620
Ac 0.2800 0.4663 0.6631
Ac 0.7200 0.5337 0.3369
Ac 0.7832 0.9669 0.8380
Tb 0.0000 0.0000 0.5000
Dy 0.5000 0.5000 0.0000


Diffraction record for Ac2Tb5Dy12. The X-ray powder pattern is computed, not measured: it uses a DFT-relaxed cell (PBE, Alexandria) and Cu Kα.

Peak list (10 most intense, 10° ≤ 2θ ≤ 80°, most intense first)
| 2theta | I_rel |
| --- | --- |
| 31.22 | 100 |
| 31.62 | 75 |
| 32.02 | 72 |
| 32.44 | 65 |
| 33.26 | 55 |
| 32.56 | 52 |
| 32.96 | 52 |
| 61.21 | 34 |
| 30.27 | 31 |
| 51.21 | 23 |

Crystal structure
Unit cell a=6.7978 b=7.1423 c=13.9944 alpha=102.78 beta=95.73 gamma=103.94
Sites, in units of the cell vectors:
Ac 0.2258 0.4098 0.4811
Ac 0.7742 0.5902 0.5189
Tb 0.1135 0.7205 0.0927
Tb 0.2386 0.9170 0.4795
Tb 0.5000 0.5000 0.0000
Tb 0.7614 0.0830 0.5205
Tb 0.8865 0.2795 0.9073
Dy 0.0708 0.0017 0.7112
Dy 0.0932 0.5176 0.7346
Dy 0.1679 0.2120 0.1109
Dy 0.3486 0.9492 0.9060
Dy 0.4573 0.6469 0.2837
Dy 0.4704 0.1442 0.3069
Dy 0.5296 0.8558 0.6931
Dy 0.5427 0.3531 0.7163
Dy 0.6514 0.0508 0.0940
Dy 0.8321 0.7880 0.8891
Dy 0.9068 0.4824 0.2654
Dy 0.9292 0.9983 0.2888


Diffraction record for Ac3TbDy. The X-ray powder pattern is computed, not measured: it uses a DFT-relaxed cell (PBE, Alexandria) and Cu Kα.

Peak list (10 most intense, 10° ≤ 2θ ≤ 80°, most intense first)
| 2theta | I_rel |
| --- | --- |
| 26.14 | 100 |
| 30.99 | 80 |
| 29.34 | 61 |
| 28.98 | 57 |
| 31.74 | 49 |
| 24.32 | 32 |
| 46.54 | 29 |
| 58.73 | 28 |
| 29.77 | 27 |
| 27.00 | 26 |

Crystal structure
Unit cell a=6.5249 b=9.3819 c=13.2613 alpha=90.00 beta=90.00 gamma=90.00
Sites, in units of the cell vectors:
Ac 0.0881 0.1732 0.0733
Ac 0.0881 0.3268 0.4267
Ac 0.1405 0.2500 0.7500
Ac 0.3595 0.7500 0.7500
Ac 0.4119 0.6732 0.4267
Ac 0.4119 0.8268 0.0733
Ac 0.5881 0.1732 0.9267
Ac 0.5881 0.3268 0.5733
Ac 0.6405 0.2500 0.2500
Ac 0.8595 0.7500 0.2500
Ac 0.9119 0.6732 0.5733
Ac 0.9119 0.8268 0.9267
Tb 0.2500 0.0000 0.5567
Tb 0.2500 0.5000 0.9433
Tb 0.7500 0.0000 0.4433
Tb 0.7500 0.5000 0.0567
Dy 0.2500 0.0000 0.3059
Dy 0.2500 0.5000 0.1941
Dy 0.7500 0.0000 0.6941
Dy 0.7500 0.5000 0.8059


Diffraction record for Ac2Tb6Dy. The X-ray powder pattern is computed, not measured: it uses a DFT-relaxed cell (PBE, Alexandria) and Cu Kα.

Peak list (10 most intense, 10° ≤ 2θ ≤ 80°, most intense first)
| 2theta | I_rel |
| --- | --- |
| 30.49 | 100 |
| 32.20 | 78 |
| 30.99 | 78 |
| 31.14 | 51 |
| 60.13 | 34 |
| 36.63 | 25 |
| 26.57 | 23 |
| 52.05 | 22 |
| 59.80 | 20 |
| 28.79 | 18 |

Crystal structure
Unit cell a=8.8124 b=3.6416 c=10.1156 alpha=90.00 beta=102.07 gamma=90.00
Sites, in units of the cell vectors:
Ac 0.1940 0.0000 0.4618
Ac 0.8060 0.0000 0.5382
Tb 0.1231 0.5000 0.7848
Tb 0.1833 0.0000 0.0982
Tb 0.4804 0.5000 0.3236
Tb 0.5196 0.5000 0.6764
Tb 0.8167 0.0000 0.9018
Tb 0.8769 0.5000 0.2152
Dy 0.5000 0.5000 0.0000